[1]
AcHf2F11: computed powder XRD pattern (CuKα), based on the GGA-PBE geometry in Alexandria.
Kinematic intensities with the Lorentz-polarization factor, no thermal factor.

Crystal structure
Lattice parameters (Å, degrees): 8.649 8.649 8.649 126.14 107.44 96.34
Fractional coordinates of all 28 atoms:
1 Ac 0.250 0.250 0.000
2 Ac 0.750 0.750 0.000
3 Hf 0.180 0.630 0.810
4 Hf 0.320 0.130 0.450
5 Hf 0.680 0.870 0.550
6 Hf 0.820 0.370 0.190
7 F 0.000 0.500 0.500
8 F 0.046 0.366 0.164
9 F 0.059 0.971 0.292
10 F 0.179 0.471 0.913
11 F 0.202 0.882 0.836
12 F 0.220 0.368 0.589
13 F 0.280 0.868 0.148
14 F 0.298 0.134 0.679
15 F 0.321 0.234 0.292
16 F 0.441 0.734 0.913
17 F 0.454 0.618 0.321
18 F 0.500 0.000 0.500
19 F 0.546 0.382 0.679
20 F 0.559 0.266 0.087
21 F 0.679 0.766 0.708
22 F 0.702 0.866 0.321
23 F 0.720 0.132 0.852
24 F 0.780 0.632 0.411
25 F 0.798 0.118 0.164
26 F 0.821 0.529 0.087
27 F 0.941 0.029 0.708
28 F 0.954 0.634 0.836

Largest 10 diffraction maxima, in order of rising 2θ, 2θ from 10° to 90°:
- 15.4 deg, I 15.5
- 21.0 deg, I 100.0
- 22.1 deg, I 32.5
- 23.2 deg, I 67.0
- 25.5 deg, I 53.7
- 28.5 deg, I 29.0
- 31.0 deg, I 17.3
- 42.6 deg, I 33.3
- 46.5 deg, I 34.1
- 48.6 deg, I 19.1

[2]
Ac2HgF11: computed powder XRD pattern (CuKα), based on the GGA-PBE geometry in Alexandria.
Kinematic intensities with the Lorentz-polarization factor, no thermal factor.

Crystal structure
Lattice parameters (Å, degrees): 9.067 9.067 9.067 119.86 107.01 102.10
Fractional coordinates of all 28 atoms:
1 Ac 0.193 0.174 0.367
2 Ac 0.307 0.674 0.981
3 Ac 0.693 0.326 0.019
4 Ac 0.807 0.826 0.633
5 Hg 0.250 0.750 0.500
6 Hg 0.750 0.250 0.500
7 F 0.000 0.000 0.000
8 F 0.021 0.448 0.760
9 F 0.066 0.832 0.621
10 F 0.179 0.898 0.078
11 F 0.188 0.948 0.427
12 F 0.211 0.445 0.379
13 F 0.289 0.668 0.234
14 F 0.312 0.739 0.760
15 F 0.321 0.398 0.719
16 F 0.434 0.055 0.766
17 F 0.479 0.239 0.427
18 F 0.500 0.500 0.000
19 F 0.521 0.761 0.573
20 F 0.566 0.945 0.234
21 F 0.679 0.602 0.281
22 F 0.688 0.261 0.240
23 F 0.711 0.332 0.766
24 F 0.789 0.555 0.621
25 F 0.812 0.052 0.573
26 F 0.821 0.102 0.922
27 F 0.934 0.168 0.379
28 F 0.979 0.552 0.240

Largest 10 diffraction maxima, in order of rising 2θ, 2θ from 10° to 90°:
- 12.7 deg, I 17.5
- 15.5 deg, I 17.3
- 20.1 deg, I 54.4
- 20.7 deg, I 31.9
- 22.7 deg, I 100.0
- 25.1 deg, I 27.6
- 25.6 deg, I 18.3
- 41.0 deg, I 18.0
- 42.1 deg, I 35.1
- 42.3 deg, I 17.0

Repeat the second record exactly.
Ac2HgF11: computed powder XRD pattern (CuKα), based on the GGA-PBE geometry in Alexandria.
Kinematic intensities with the Lorentz-polarization factor, no thermal factor.

Crystal structure
Lattice parameters (Å, degrees): 9.067 9.067 9.067 119.86 107.01 102.10
Fractional coordinates of all 28 atoms:
1 Ac 0.193 0.174 0.367
2 Ac 0.307 0.674 0.981
3 Ac 0.693 0.326 0.019
4 Ac 0.807 0.826 0.633
5 Hg 0.250 0.750 0.500
6 Hg 0.750 0.250 0.500
7 F 0.000 0.000 0.000
8 F 0.021 0.448 0.760
9 F 0.066 0.832 0.621
10 F 0.179 0.898 0.078
11 F 0.188 0.948 0.427
12 F 0.211 0.445 0.379
13 F 0.289 0.668 0.234
14 F 0.312 0.739 0.760
15 F 0.321 0.398 0.719
16 F 0.434 0.055 0.766
17 F 0.479 0.239 0.427
18 F 0.500 0.500 0.000
19 F 0.521 0.761 0.573
20 F 0.566 0.945 0.234
21 F 0.679 0.602 0.281
22 F 0.688 0.261 0.240
23 F 0.711 0.332 0.766
24 F 0.789 0.555 0.621
25 F 0.812 0.052 0.573
26 F 0.821 0.102 0.922
27 F 0.934 0.168 0.379
28 F 0.979 0.552 0.240

Largest 10 diffraction maxima, in order of rising 2θ, 2θ from 10° to 90°:
- 12.7 deg, I 17.5
- 15.5 deg, I 17.3
- 20.1 deg, I 54.4
- 20.7 deg, I 31.9
- 22.7 deg, I 100.0
- 25.1 deg, I 27.6
- 25.6 deg, I 18.3
- 41.0 deg, I 18.0
- 42.1 deg, I 35.1
- 42.3 deg, I 17.0